Record 1
Structure and theoretical X-ray powder pattern of Co10Ge3O16 (a crystal structure in Alexandria, relaxed with GGA+U; Cu Kα (λ = 1.5418 Å)).

Largest 8 diffraction maxima, sorted by position, 2θ = 15–90°:
| two_theta | Rel. int. |
| --- | --- |
| 31.11 | 26 |
| 35.05 | 56 |
| 35.23 | 28 |
| 36.61 | 49 |
| 37.80 | 30 |
| 42.63 | 100 |
| 61.65 | 56 |
| 62.08 | 53 |

Lattice parameters (Å, degrees): 10.336 10.336 10.336 33.85 33.85 33.85
Element x y z (fractional)
1 Co 0.000 0.000 0.000
2 Co 0.000 0.000 0.500
3 Co 0.000 0.500 0.000
4 Co 0.251 0.251 0.741
5 Co 0.251 0.741 0.251
6 Co 0.259 0.749 0.749
7 Co 0.500 0.000 0.000
8 Co 0.741 0.251 0.251
9 Co 0.749 0.259 0.749
10 Co 0.749 0.749 0.259
11 Ge 0.311 0.311 0.311
12 Ge 0.500 0.500 0.500
13 Ge 0.689 0.689 0.689
14 O 0.123 0.123 0.123
15 O 0.128 0.128 0.621
16 O 0.128 0.621 0.128
17 O 0.162 0.612 0.612
18 O 0.373 0.373 0.373
19 O 0.379 0.872 0.872
20 O 0.388 0.388 0.838
21 O 0.388 0.838 0.388
22 O 0.612 0.162 0.612
23 O 0.612 0.612 0.162
24 O 0.621 0.128 0.128
25 O 0.627 0.627 0.627
26 O 0.838 0.388 0.388
27 O 0.872 0.379 0.872
28 O 0.872 0.872 0.379
29 O 0.877 0.877 0.877

***

Record 2
Structure and theoretical X-ray powder pattern of RbCoGe2O6 (a crystal structure in Alexandria, relaxed with GGA+U; Cu Kα (λ = 1.5418 Å)).

Largest 8 diffraction maxima, sorted by position, 2θ = 15–90°:
| two_theta | Rel. int. |
| --- | --- |
| 27.13 | 100 |
| 27.27 | 26 |
| 30.31 | 74 |
| 30.54 | 58 |
| 43.26 | 32 |
| 48.58 | 32 |
| 55.98 | 27 |
| 63.79 | 26 |

Lattice parameters (Å, degrees): 6.784 6.784 6.573 90.00 90.00 103.39
Element x y z (fractional)
1 Rb 0.077 0.923 0.750
2 Rb 0.923 0.077 0.250
3 Co 0.328 0.672 0.250
4 Co 0.672 0.328 0.750
5 Ge 0.225 0.458 0.750
6 Ge 0.458 0.225 0.250
7 Ge 0.542 0.775 0.750
8 Ge 0.775 0.542 0.250
9 O 0.027 0.655 0.250
10 O 0.280 0.374 0.250
11 O 0.334 0.666 0.565
12 O 0.334 0.666 0.935
13 O 0.345 0.973 0.250
14 O 0.374 0.280 0.750
15 O 0.626 0.720 0.250
16 O 0.655 0.027 0.750
17 O 0.666 0.334 0.065
18 O 0.666 0.334 0.435
19 O 0.720 0.626 0.750
20 O 0.973 0.345 0.750

***

Record 3
Structure and theoretical X-ray powder pattern of Co2GeRhO6 (a crystal structure in Alexandria, relaxed with GGA+U; Cu Kα (λ = 1.5418 Å)).

Largest 8 diffraction maxima, sorted by position, 2θ = 15–90°:
| two_theta | Rel. int. |
| --- | --- |
| 24.20 | 57 |
| 33.59 | 96 |
| 35.37 | 100 |
| 49.57 | 38 |
| 54.68 | 64 |
| 62.36 | 35 |
| 63.49 | 36 |
| 84.56 | 20 |

Lattice parameters (Å, degrees): 5.350 5.350 5.350 56.64 56.64 56.64
Element x y z (fractional)
1 Co 0.000 0.000 0.000
2 Co 0.484 0.484 0.484
3 Ge 0.200 0.200 0.200
4 Rh 0.688 0.688 0.688
5 O 0.085 0.813 0.382
6 O 0.270 0.591 0.919
7 O 0.382 0.085 0.813
8 O 0.591 0.919 0.270
9 O 0.813 0.382 0.085
10 O 0.919 0.270 0.591

***

Record 4
Structure and theoretical X-ray powder pattern of ThCoGeO6 (a crystal structure in Alexandria, relaxed with GGA+U; Cu Kα (λ = 1.5418 Å)).

Largest 8 diffraction maxima, sorted by position, 2θ = 15–90°:
| two_theta | Rel. int. |
| --- | --- |
| 20.61 | 49 |
| 26.13 | 100 |
| 32.21 | 22 |
| 33.63 | 83 |
| 37.29 | 23 |
| 42.98 | 19 |
| 51.08 | 66 |
| 64.93 | 19 |

Lattice parameters (Å, degrees): 4.823 4.823 9.594 90.00 90.00 90.00
Element x y z (fractional)
1 Th 0.000 0.000 0.000
2 Th 0.500 0.500 0.500
3 Co 0.000 0.000 0.332
4 Co 0.500 0.500 0.832
5 Ge 0.000 0.000 0.663
6 Ge 0.500 0.500 0.163
7 O 0.171 0.171 0.502
8 O 0.210 0.210 0.805
9 O 0.223 0.223 0.178
10 O 0.277 0.723 0.678
11 O 0.290 0.710 0.305
12 O 0.329 0.671 0.002
13 O 0.671 0.329 0.002
14 O 0.710 0.290 0.305
15 O 0.723 0.277 0.678
16 O 0.777 0.777 0.178
17 O 0.790 0.790 0.805
18 O 0.829 0.829 0.502

***

Record 5
Structure and theoretical X-ray powder pattern of UCoGeO6 (a crystal structure in Alexandria, relaxed with GGA+U; Cu Kα (λ = 1.5418 Å)).

Largest 8 diffraction maxima, sorted by position, 2θ = 15–90°:
| two_theta | Rel. int. |
| --- | --- |
| 19.78 | 51 |
| 21.89 | 58 |
| 27.92 | 100 |
| 34.12 | 64 |
| 39.75 | 53 |
| 44.64 | 28 |
| 53.71 | 58 |
| 57.36 | 26 |

Lattice parameters (Å, degrees): 5.255 5.255 8.978 90.00 90.00 120.00
Element x y z (fractional)
1 U 0.333 0.667 0.250
2 U 0.667 0.333 0.750
3 Co 0.000 0.000 0.000
4 Co 0.000 0.000 0.500
5 Ge 0.333 0.667 0.750
6 Ge 0.667 0.333 0.250
7 O 0.025 0.358 0.633
8 O 0.025 0.667 0.867
9 O 0.333 0.358 0.867
10 O 0.333 0.975 0.633
11 O 0.358 0.025 0.133
12 O 0.358 0.333 0.367
13 O 0.642 0.667 0.633
14 O 0.642 0.975 0.867
15 O 0.667 0.025 0.367
16 O 0.667 0.642 0.133
17 O 0.975 0.333 0.133
18 O 0.975 0.642 0.367

***

Record 6
Structure and theoretical X-ray powder pattern of ZnCoGeO4 (a crystal structure in Alexandria, relaxed with GGA+U; Cu Kα (λ = 1.5418 Å)).

Largest 8 diffraction maxima, sorted by position, 2θ = 15–90°:
| two_theta | Rel. int. |
| --- | --- |
| 31.11 | 34 |
| 34.09 | 100 |
| 44.97 | 9 |
| 47.55 | 13 |
| 50.37 | 10 |
| 57.28 | 21 |
| 60.40 | 19 |
| 69.84 | 11 |

Lattice parameters (Å, degrees): 5.289 5.289 6.271 90.00 90.00 114.15
Element x y z (fractional)
1 Zn 0.162 0.838 0.750
2 Zn 0.838 0.162 0.250
3 Co 0.500 0.500 0.000
4 Co 0.500 0.500 0.500
5 Ge 0.152 0.848 0.250
6 Ge 0.848 0.152 0.750
7 O 0.220 0.253 0.750
8 O 0.253 0.220 0.250
9 O 0.268 0.732 0.021
10 O 0.268 0.732 0.479
11 O 0.732 0.268 0.521
12 O 0.732 0.268 0.979
13 O 0.747 0.780 0.750
14 O 0.780 0.747 0.250

***

What did the second record say?
Structure and theoretical X-ray powder pattern of RbCoGe2O6 (a crystal structure in Alexandria, relaxed with GGA+U; Cu Kα (λ = 1.5418 Å)).

Largest 8 diffraction maxima, sorted by position, 2θ = 15–90°:
| two_theta | Rel. int. |
| --- | --- |
| 27.13 | 100 |
| 27.27 | 26 |
| 30.31 | 74 |
| 30.54 | 58 |
| 43.26 | 32 |
| 48.58 | 32 |
| 55.98 | 27 |
| 63.79 | 26 |

Lattice parameters (Å, degrees): 6.784 6.784 6.573 90.00 90.00 103.39
Element x y z (fractional)
1 Rb 0.077 0.923 0.750
2 Rb 0.923 0.077 0.250
3 Co 0.328 0.672 0.250
4 Co 0.672 0.328 0.750
5 Ge 0.225 0.458 0.750
6 Ge 0.458 0.225 0.250
7 Ge 0.542 0.775 0.750
8 Ge 0.775 0.542 0.250
9 O 0.027 0.655 0.250
10 O 0.280 0.374 0.250
11 O 0.334 0.666 0.565
12 O 0.334 0.666 0.935
13 O 0.345 0.973 0.250
14 O 0.374 0.280 0.750
15 O 0.626 0.720 0.250
16 O 0.655 0.027 0.750
17 O 0.666 0.334 0.065
18 O 0.666 0.334 0.435
19 O 0.720 0.626 0.750
20 O 0.973 0.345 0.750